For Ta3O7F, a GGA-PBE-relaxed structure gives the theoretical X-ray diffraction stick pattern in this record (λ = 1.5418 Å (Cu Kα)).
Peak positions follow from Bragg's law for the DFT cell and can differ from measured ones.

Peak list (10 most intense, 2θ from 15° to 90°, in order of rising 2θ)
- 2θ 22.57, I = 1000
- 2θ 26.63, I = 641
- 2θ 28.91, I = 926
- 2θ 35.19, I = 406
- 2θ 36.99, I = 656
- 2θ 46.09, I = 206
- 2θ 48.46, I = 288
- 2θ 54.06, I = 490
- 2θ 55.32, I = 306
- 2θ 69.10, I = 192

a = 6.2020 Å, b = 6.2020 Å, c = 3.9389 Å
α = 90.00°, β = 90.00°, γ = 114.68°
Positions (direct):
Ta1 0.0000 0.0000 0.0000
Ta2 0.3163 0.6837 0.0000
Ta3 0.6837 0.3163 0.0000
O1 0.0485 0.3313 0.0000
O2 0.3011 0.6989 0.5000
O3 0.3313 0.0485 0.0000
O4 0.5000 0.5000 0.0000
O5 0.6687 0.9515 0.0000
O6 0.6989 0.3011 0.5000
O7 0.9515 0.6687 0.0000
F1 0.0000 0.0000 0.5000


For TaO2F, a GGA-PBE-relaxed structure gives the theoretical X-ray diffraction stick pattern in this record (λ = 1.5418 Å (Cu Kα)).
Peak positions follow from Bragg's law for the DFT cell and can differ from measured ones.

Peak list (10 most intense, 2θ from 15° to 90°, in order of rising 2θ)
- 2θ 22.33, I = 1000
- 2θ 22.88, I = 485
- 2θ 31.79, I = 267
- 2θ 32.19, I = 538
- 2θ 39.53, I = 192
- 2θ 45.57, I = 206
- 2θ 51.32, I = 210
- 2θ 51.59, I = 214
- 2θ 52.39, I = 197
- 2θ 56.88, I = 227

a = 3.9812 Å, b = 3.9812 Å, c = 7.7735 Å
α = 90.00°, β = 90.00°, γ = 90.00°
Positions (direct):
Ta1 0.0000 0.0000 0.0000
Ta2 0.0000 0.0000 0.5000
O1 0.0000 0.0000 0.2500
O2 0.0000 0.0000 0.7500
O3 0.0000 0.5000 0.0000
O4 0.5000 0.0000 0.5000
F1 0.0000 0.5000 0.5000
F2 0.5000 0.0000 0.0000


For TaTl2OF5, a GGA-PBE-relaxed structure gives the theoretical X-ray diffraction stick pattern in this record (λ = 1.5418 Å (Cu Kα)).
Peak positions follow from Bragg's law for the DFT cell and can differ from measured ones.

Peak list (10 most intense, 2θ from 15° to 90°, in order of rising 2θ)
- 2θ 17.28, I = 414
- 2θ 27.56, I = 1000
- 2θ 30.00, I = 384
- 2θ 34.96, I = 186
- 2θ 35.50, I = 180
- 2θ 42.95, I = 238
- 2θ 47.15, I = 223
- 2θ 51.79, I = 362
- 2θ 56.90, I = 181
- 2θ 59.02, I = 139

a = 6.5818 Å, b = 6.5818 Å, c = 6.5818 Å
α = 126.19°, β = 126.19°, γ = 79.57°
Positions (direct):
Ta1 0.0000 0.0000 0.0000
Tl1 0.2542 0.7542 0.5000
Tl2 0.7542 0.2542 0.5000
O1 0.1787 0.1787 0.0000
F1 0.2054 0.2054 0.4612
F2 0.2054 0.7442 0.0000
F3 0.7442 0.2054 0.0000
F4 0.7442 0.7442 0.5388
F5 0.7887 0.7887 0.0000